Record 1
Tl2In2Hg: calculated XRD peak list (Cu Kα X-rays), based on DFT lattice parameters and positions (PBE).

Principal peaks in the range 5° ≤ 2θ ≤ 70°, sorted by position:
31.79°, rel. 100; 32.68°, rel. 92; 33.15°, rel. 44; 35.22°, rel. 42; 48.52°, rel. 18; 65.20°, rel. 26

Atomic structure:
```
Tl2In2Hg
1.0
5.4824 0.0000 0.0000
0.0000 3.3553 0.0000
-2.6150 0.0000 7.8351
Tl In Hg
2 2 1
direct
0.1125 0.0000 0.2144
0.8875 0.0000 0.7856
0.3005 0.5000 0.6050
0.6995 0.5000 0.3950
0.5000 0.5000 0.0000
```

Record 2
Tl19In4Hg6: calculated XRD peak list (Cu Kα X-rays), based on DFT lattice parameters and positions (PBE).

Principal peaks in the range 5° ≤ 2θ ≤ 70°, sorted by position:
27.31°, rel. 66; 29.24°, rel. 59; 31.06°, rel. 100; 36.02°, rel. 57; 37.54°, rel. 90; 61.68°, rel. 35

Atomic structure:
```
Tl19In4Hg6
1.0
-6.1084 6.1084 6.1084
6.1084 -6.1084 6.1084
6.1084 6.1084 -6.1084
Tl In Hg
19 4 6
direct
0.0000 0.0000 0.0000
0.0000 0.2802 0.2802
0.0000 0.7198 0.7198
0.0017 0.7940 0.3442
0.2060 0.2077 0.5502
0.2077 0.5502 0.2060
0.2802 0.0000 0.2802
0.2802 0.2802 0.0000
0.3425 0.7923 0.9983
0.3442 0.0017 0.7940
0.4498 0.6575 0.6558
0.5502 0.2060 0.2077
0.6558 0.4498 0.6575
0.6575 0.6558 0.4498
0.7198 0.0000 0.7198
0.7198 0.7198 0.0000
0.7923 0.9983 0.3425
0.7940 0.3442 0.0017
0.9983 0.3425 0.7923
0.0000 0.0000 0.6615
0.0000 0.6615 0.0000
0.3385 0.3385 0.3385
0.6615 0.0000 0.0000
0.1353 0.6353 0.5000
0.3647 0.5000 0.8647
0.5000 0.1353 0.6353
0.5000 0.8647 0.3647
0.6353 0.5000 0.1353
0.8647 0.3647 0.5000
```